Theoretical X-ray diffraction stick pattern of La2TbAl3Ga6 for Cu Kα, from the PBE geometry in Alexandria.

Cell and atoms:
Cell: 4.253 4.253 17.218 Å, 90.00 90.00 90.00°
Space group P4/mmm (No. 123)
One atom of each set of equivalent atoms:
La (0.000, 0.000, 0.215) (multiplicity 2)
Tb (0.000, 0.000, 0.500) (multiplicity 1)
Al (0.500, 0.500, 0.000) (multiplicity 1)
Al (0.500, 0.500, 0.281) (multiplicity 2)
Ga (0.000, 0.500, 0.374) (multiplicity 4)
Ga (0.500, 0.500, 0.139) (multiplicity 2)

Most intense lines, 2θ from 5° to 70°, sorted by position:
d (Å)  Position (°2θ)  intensity  index
17.218  5.13  100  0 0 1
4.129  21.52  22  1 0 1
3.417  26.08  21  1 0 3
3.025  29.52  38  1 0 4
3.007  29.71  15  1 1 0
2.664  33.64  60  1 1 3
2.465  36.46  46  1 1 4
2.128  42.48  75  2 0 0
1.740  52.60  15  2 1 4
1.504  61.65  37  2 2 0


Theoretical X-ray diffraction stick pattern of Ac12Ir3Pd5 for Cu Kα, from the PBE geometry in Alexandria.

Cell and atoms:
Cell: 13.2330 13.2330 4.4180 Å, 90.00 90.00 120.00°
Space group P-62m (No. 189)
One atom of each set of equivalent atoms:
Ac (0.0000, 0.1751, 0.0000) (multiplicity 3)
Ac (0.0000, 0.4693, 0.0000) (multiplicity 3)
Ac (0.1936, 0.7434, 0.5000) (multiplicity 6)
Ir (0.0000, 0.3240, 0.5000) (multiplicity 3)
Pd (0.0000, 0.7128, 0.0000) (multiplicity 3)
Pd (0.3333, 0.6667, 0.0000) (multiplicity 2)

Most intense lines, 2θ from 5° to 70°, sorted by position:
d (Å)  Position (°2θ)  intensity  index
6.617  13.38  22  1 1 0
3.499  25.46  29  2 0 1
3.178  28.07  60  3 1 0
3.093  28.87  100  2 1 1
2.865  31.22  27  4 0 0
2.648  33.85  72  2 2 1
2.208  40.87  39  0 0 2
1.973  45.99  23  3 3 1
1.814  50.30  25  3 1 2
1.393  67.19  20  5 4 1


Theoretical X-ray diffraction stick pattern of La3SmC8 for Cu Kα, from the PBE geometry in Alexandria.

Cell and atoms:
Cell: 7.926 10.453 6.559 Å, 90.00 127.14 90.00°
Space group Cm (No. 8)
One atom of each set of equivalent atoms:
La (0.000, 0.000, 0.000) (multiplicity 2)
La (0.000, 0.250, 0.500) (multiplicity 4)
Sm (0.000, 0.500, 0.001) (multiplicity 2)
C (0.060, 0.500, 0.676) (multiplicity 2)
C (0.277, 0.162, 0.000) (multiplicity 4)
C (0.366, 0.000, 0.473) (multiplicity 2)
C (0.371, 0.264, 0.000) (multiplicity 4)
C (0.385, 0.500, 0.324) (multiplicity 2)
C (0.393, 0.500, 0.527) (multiplicity 2)

Most intense lines, 2θ from 5° to 70°, sorted by position:
d (Å)  Position (°2θ)  intensity  index
3.696  24.08  59  0 2 1
3.158  28.26  100  2 0 0
2.614  34.31  37  0 4 0
2.014  45.02  62  2 4 0
1.848  49.31  12  0 4 2
1.746  52.39  20  4 2 -1
1.653  55.60  14  0 6 1
1.595  57.80  12  2 6 -1
1.579  58.45  12  4 0 0
1.362  68.97  16  2 6 1


Which formula does entry 2 have?
Ac12Ir3Pd5


What did the third record say?
Theoretical X-ray diffraction stick pattern of La3SmC8 for Cu Kα, from the PBE geometry in Alexandria.

Cell and atoms:
Cell: 7.926 10.453 6.559 Å, 90.00 127.14 90.00°
Space group Cm (No. 8)
One atom of each set of equivalent atoms:
La (0.000, 0.000, 0.000) (multiplicity 2)
La (0.000, 0.250, 0.500) (multiplicity 4)
Sm (0.000, 0.500, 0.001) (multiplicity 2)
C (0.060, 0.500, 0.676) (multiplicity 2)
C (0.277, 0.162, 0.000) (multiplicity 4)
C (0.366, 0.000, 0.473) (multiplicity 2)
C (0.371, 0.264, 0.000) (multiplicity 4)
C (0.385, 0.500, 0.324) (multiplicity 2)
C (0.393, 0.500, 0.527) (multiplicity 2)

Most intense lines, 2θ from 5° to 70°, sorted by position:
d (Å)  Position (°2θ)  intensity  index
3.696  24.08  59  0 2 1
3.158  28.26  100  2 0 0
2.614  34.31  37  0 4 0
2.014  45.02  62  2 4 0
1.848  49.31  12  0 4 2
1.746  52.39  20  4 2 -1
1.653  55.60  14  0 6 1
1.595  57.80  12  2 6 -1
1.579  58.45  12  4 0 0
1.362  68.97  16  2 6 1